(1)
Simulated X-ray powder pattern
Compound: Eu2MgH6
Radiation: Cu Ka
Structure: DFT lattice parameters and positions (PBE)
No peak broadening, texture or thermal motion is included.

Peak list (12 most intense, 2θ from 10° to 80°, by angle)
2θ (°), intensity
18.1, 313
27.9, 1000
31.6, 567
42.7, 343
46.9, 113
54.1, 324
54.2, 174
56.3, 110
67.3, 76
69.5, 73
73.1, 133
73.3, 73

Structure:
a b c (Å): 5.660 5.660 4.219
angles (deg): 90.00 90.00 120.00
Fractional coordinates of all 9 atoms:
Eu 0.333 0.667 0.241
Eu 0.667 0.333 0.759
Mg 0.000 0.000 0.500
H 0.179 0.357 0.740
H 0.179 0.821 0.740
H 0.357 0.179 0.260
H 0.643 0.821 0.740
H 0.821 0.179 0.260
H 0.821 0.643 0.260

(2)
Simulated X-ray powder pattern
Compound: EuHO3
Radiation: Cu Ka
Structure: DFT lattice parameters and positions (PBE)
No peak broadening, texture or thermal motion is included.

Peak list (12 most intense, 2θ from 10° to 80°, by angle)
2θ (°), intensity
16.5, 477
17.1, 471
18.3, 902
28.4, 619
29.0, 1000
29.3, 803
30.0, 586
30.6, 439
31.6, 350
42.3, 430
44.4, 593
51.0, 493

Structure:
a b c (Å): 5.690 3.765 5.885
angles (deg): 90.00 114.08 90.00
Fractional coordinates of all 10 atoms:
Eu 0.182 0.250 0.313
Eu 0.818 0.750 0.687
H 0.380 0.750 0.009
H 0.620 0.250 0.991
O 0.081 0.250 0.667
O 0.228 0.750 0.048
O 0.382 0.750 0.582
O 0.618 0.250 0.418
O 0.772 0.250 0.952
O 0.919 0.750 0.333

(3)
Simulated X-ray powder pattern
Compound: Eu2P3H3O9
Radiation: Cu Ka
Structure: DFT lattice parameters and positions (PBE)
No peak broadening, texture or thermal motion is included.

Peak list (12 most intense, 2θ from 10° to 80°, by angle)
2θ (°), intensity
13.9, 881
14.0, 227
14.1, 251
17.2, 364
21.3, 299
23.9, 1000
24.6, 966
27.7, 292
27.8, 305
30.0, 227
34.7, 316
36.5, 220

Structure:
a b c (Å): 7.235 8.407 9.666
angles (deg): 70.54 68.28 65.03
Fractional coordinates of all 34 atoms:
Eu 0.157 0.272 0.406
Eu 0.224 0.747 0.818
Eu 0.776 0.253 0.182
Eu 0.843 0.728 0.594
P 0.038 0.231 0.773
P 0.329 0.292 0.047
P 0.378 0.784 0.461
P 0.622 0.216 0.539
P 0.671 0.708 0.953
P 0.962 0.769 0.227
H 0.220 0.238 0.788
H 0.438 0.130 0.997
H 0.483 0.668 0.359
H 0.517 0.332 0.641
H 0.562 0.870 0.003
H 0.780 0.762 0.212
O 0.036 0.601 0.350
O 0.106 0.292 0.148
O 0.110 0.066 0.704
O 0.117 0.779 0.069
O 0.178 0.739 0.570
O 0.327 0.440 0.904
O 0.327 0.977 0.369
O 0.440 0.295 0.155
O 0.480 0.259 0.436
O 0.520 0.741 0.564
O 0.560 0.705 0.845
O 0.673 0.023 0.631
O 0.673 0.560 0.096
O 0.822 0.261 0.430
O 0.883 0.221 0.931
O 0.890 0.934 0.296
O 0.894 0.708 0.852
O 0.964 0.399 0.650

(4)
Simulated X-ray powder pattern
Compound: Eu2H6Ru
Radiation: Cu Ka
Structure: DFT lattice parameters and positions (PBE)
No peak broadening, texture or thermal motion is included.

Peak list (12 most intense, 2θ from 10° to 80°, by angle)
2θ (°), intensity
20.6, 160
23.8, 286
34.0, 1000
40.0, 81
41.9, 100
48.8, 186
53.5, 34
55.0, 124
60.8, 371
64.9, 26
71.5, 117
76.5, 61

Structure:
a b c (Å): 5.280 5.280 5.280
angles (deg): 60.00 60.00 60.00
Fractional coordinates of all 9 atoms:
Eu 0.250 0.250 0.250
Eu 0.750 0.750 0.750
H 0.231 0.231 0.769
H 0.231 0.769 0.231
H 0.231 0.769 0.769
H 0.769 0.231 0.231
H 0.769 0.231 0.769
H 0.769 0.769 0.231
Ru 0.000 0.000 0.000

(5)
Simulated X-ray powder pattern
Compound: NaEuHfNbO6
Radiation: Cu Ka
Structure: DFT lattice parameters and positions (PBE)
No peak broadening, texture or thermal motion is included.

Peak list (12 most intense, 2θ from 10° to 80°, by angle)
2θ (°), intensity
18.8, 283
21.8, 123
31.0, 1000
36.5, 173
44.4, 316
48.6, 79
50.0, 47
55.1, 402
58.8, 59
64.6, 193
67.9, 58
73.3, 174

Structure:
a b c (Å): 5.773 5.773 5.773
angles (deg): 60.00 60.00 60.00
Fractional coordinates of all 10 atoms:
Na 0.000 0.000 0.000
Eu 0.500 0.500 0.500
Hf 0.750 0.750 0.750
Nb 0.250 0.250 0.250
O 0.003 0.003 0.497
O 0.003 0.497 0.003
O 0.003 0.497 0.497
O 0.497 0.003 0.003
O 0.497 0.003 0.497
O 0.497 0.497 0.003

(6)
Simulated X-ray powder pattern
Compound: NaEuHfSnO6
Radiation: Cu Ka
Structure: DFT lattice parameters and positions (PBE)
No peak broadening, texture or thermal motion is included.

Peak list (12 most intense, 2θ from 10° to 80°, by angle)
2θ (°), intensity
18.8, 221
21.7, 151
30.9, 1000
36.4, 129
44.3, 311
48.5, 58
49.8, 64
54.9, 410
58.6, 44
64.4, 194
67.7, 43
73.1, 180

Structure:
a b c (Å): 5.789 5.789 5.789
angles (deg): 60.00 60.00 60.00
Fractional coordinates of all 10 atoms:
Na 0.000 0.000 0.000
Eu 0.500 0.500 0.500
Hf 0.750 0.750 0.750
Sn 0.250 0.250 0.250
O 0.000 0.000 0.500
O 0.000 0.500 0.000
O 0.000 0.500 0.500
O 0.500 0.000 0.000
O 0.500 0.000 0.500
O 0.500 0.500 0.000

(7)
Simulated X-ray powder pattern
Compound: Eu2HfNbO6
Radiation: Cu Ka
Structure: DFT lattice parameters and positions (PBE)
No peak broadening, texture or thermal motion is included.

Peak list (12 most intense, 2θ from 10° to 80°, by angle)
2θ (°), intensity
18.7, 44
30.8, 1000
36.3, 28
38.0, 23
44.1, 284
48.3, 14
54.8, 403
58.4, 10
64.2, 177
67.5, 10
72.8, 175
77.0, 6

Structure:
a b c (Å): 5.807 5.807 5.807
angles (deg): 60.00 60.00 60.00
Fractional coordinates of all 10 atoms:
Eu 0.250 0.250 0.250
Eu 0.750 0.750 0.750
Hf 0.000 0.000 0.000
Nb 0.500 0.500 0.500
O 0.251 0.251 0.749
O 0.251 0.749 0.251
O 0.251 0.749 0.749
O 0.749 0.251 0.251
O 0.749 0.251 0.749
O 0.749 0.749 0.251

(8)
Simulated X-ray powder pattern
Compound: SrEuHfNbO6
Radiation: Cu Ka
Structure: DFT lattice parameters and positions (PBE)
No peak broadening, texture or thermal motion is included.

Peak list (12 most intense, 2θ from 10° to 80°, by angle)
2θ (°), intensity
18.6, 95
21.6, 25
30.7, 1000
36.1, 60
43.9, 298
48.1, 28
49.4, 8
54.5, 404
58.1, 21
63.9, 185
67.2, 21
72.5, 175

Structure:
a b c (Å): 5.829 5.829 5.829
angles (deg): 60.00 60.00 60.00
Fractional coordinates of all 10 atoms:
Sr 0.000 0.000 0.000
Eu 0.500 0.500 0.500
Hf 0.250 0.250 0.250
Nb 0.750 0.750 0.750
O 0.501 0.501 0.999
O 0.501 0.999 0.501
O 0.501 0.999 0.999
O 0.999 0.501 0.501
O 0.999 0.501 0.999
O 0.999 0.999 0.501

What is the formula in the eighth record?
SrEuHfNbO6